# 1
Theoretical powder X-ray diffraction pattern of TbCe3Pm4Te8 for Cu Kα, from a cell relaxed with PBE.

Most intense lines, 15 to 90 degrees two-theta, sorted by position:
2theta, I/Imax, hkl
28.3, 100, 0 2 4
40.3, 38, 2 0 8
40.5, 38, 2 2 0
50.1, 20, 4 0 4
58.5, 13, 0 4 8
66.1, 18, 2 2 12
66.3, 17, 2 4 4
73.6, 13, 4 2 8

Atomic structure:
```
data_TbCe3Pm4Te8
_chemical_formula_sum 'Tb3 Ce9 Pm12 Te24'
_cell_length_a 8.9083
_cell_length_b 8.9083
_cell_length_c 21.9527
_cell_angle_alpha 90.00
_cell_angle_beta 90.00
_cell_angle_gamma 120.00
_symmetry_space_group_name_H-M 'R -3 m'
_symmetry_Int_Tables_number 166
_symmetry_space_group_name_Hall '-R 3 2"'
loop_
_atom_site_label
_atom_site_fract_x
_atom_site_fract_y
_atom_site_fract_z
_atom_site_occupancy
Tb1 0.0000 0.0000 0.0000 1
Ce1 0.0000 0.5000 0.0000 1
Pm1 0.0000 0.0000 0.5000 1
Pm2 0.0000 0.5000 0.5000 1
Te1 0.0000 0.0000 0.2494 1
Te2 0.0042 0.5021 0.7494 1
```

---

# 2
Theoretical powder X-ray diffraction pattern of TbCePmTl for Cu Kα, from a cell relaxed with PBE.

Most intense lines, 15 to 90 degrees two-theta, sorted by position:
2theta, I/Imax, hkl
19.9, 2, 1 1 1
32.8, 100, 2 2 0
38.6, 1, 3 1 1
47.0, 18, 4 0 0
58.5, 38, 4 2 2
68.7, 12, 4 4 0
78.2, 17, 6 2 0
87.4, 4, 4 4 4

Atomic structure:
```
data_TbCePmTl
_chemical_formula_sum 'Tb4 Ce4 Pm4 Tl4'
_cell_length_a 7.730
_cell_length_b 7.730
_cell_length_c 7.730
_cell_angle_alpha 90.00
_cell_angle_beta 90.00
_cell_angle_gamma 90.00
_symmetry_space_group_name_H-M 'F -4 3 m'
_symmetry_Int_Tables_number 216
_symmetry_space_group_name_Hall 'F -4 2 3'
loop_
_atom_site_label
_atom_site_fract_x
_atom_site_fract_y
_atom_site_fract_z
_atom_site_occupancy
Tb1 0.000 0.000 0.000 1
Ce1 0.250 0.250 0.750 1
Pm1 0.000 0.000 0.500 1
Tl1 0.250 0.250 0.250 1
```

---

# 3
Theoretical powder X-ray diffraction pattern of Tb6Ce2PmTm3 for Cu Kα, from a cell relaxed with PBE.

Most intense lines, 15 to 90 degrees two-theta, sorted by position:
2theta, I/Imax, hkl
30.9, 100, 1 3 1
35.9, 51, 2 0 2
51.6, 36, 1 3 5
61.4, 43, 4 0 0
64.5, 12, 2 6 2
76.0, 6, 4 0 4
84.3, 18, 4 6 0
87.0, 17, 5 3 1

Atomic structure:
```
data_Tb6Ce2PmTm3
_chemical_formula_sum 'Tb12 Ce4 Pm2 Tm6'
_cell_length_a 6.132
_cell_length_b 10.624
_cell_length_c 11.746
_cell_angle_alpha 90.00
_cell_angle_beta 100.03
_cell_angle_gamma 90.00
_symmetry_space_group_name_H-M 'C 1 2/m 1'
_symmetry_Int_Tables_number 12
_symmetry_space_group_name_Hall '-C 2y'
loop_
_atom_site_label
_atom_site_fract_x
_atom_site_fract_y
_atom_site_fract_z
_atom_site_occupancy
Tb1 0.247 0.168 0.248 1
Tb2 0.248 0.000 0.752 1
Ce1 0.000 0.167 0.500 1
Pm1 0.000 0.500 0.500 1
Tm1 0.000 0.000 0.000 1
Tm2 0.000 0.334 0.000 1
```

---

# 4
Theoretical powder X-ray diffraction pattern of Tb6CePm2Y for Cu Kα, from a cell relaxed with PBE.

Most intense lines, 15 to 90 degrees two-theta, sorted by position:
2theta, I/Imax, hkl
27.9, 24, 1 1 2
30.2, 16, 2 0 2
31.1, 100, 2 2 -1
32.3, 16, 3 1 1
32.7, 24, 1 1 -3
33.1, 16, 4 0 -2
33.8, 19, 0 2 2
55.5, 15, 6 2 -2

Atomic structure:
```
data_Tb6CePm2Y
_chemical_formula_sum 'Tb12 Ce2 Pm4 Y2'
_cell_length_a 11.476
_cell_length_b 6.768
_cell_length_c 8.994
_cell_angle_alpha 90.00
_cell_angle_beta 107.85
_cell_angle_gamma 90.00
_symmetry_space_group_name_H-M 'C 1 2/m 1'
_symmetry_Int_Tables_number 12
_symmetry_space_group_name_Hall '-C 2y'
loop_
_atom_site_label
_atom_site_fract_x
_atom_site_fract_y
_atom_site_fract_z
_atom_site_occupancy
Tb1 0.128 0.000 0.419 1
Tb2 0.175 0.259 0.803 1
Ce1 0.000 0.000 0.000 1
Pm1 0.087 0.500 0.172 1
Y1 0.000 0.500 0.500 1
```

---

# 5
Theoretical powder X-ray diffraction pattern of TbCePm2Y6 for Cu Kα, from a cell relaxed with PBE.

Most intense lines, 15 to 90 degrees two-theta, sorted by position:
2theta, I/Imax, hkl
27.9, 21, 1 1 2
29.8, 19, 3 1 -2
31.1, 100, 2 2 -1
32.4, 65, 1 1 -3
32.8, 26, 4 0 -2
33.7, 17, 0 2 2
34.5, 20, 2 2 1
50.5, 18, 1 3 -3

Atomic structure:
```
data_TbCePm2Y6
_chemical_formula_sum 'Tb2 Ce2 Pm4 Y12'
_cell_length_a 11.518
_cell_length_b 6.752
_cell_length_c 9.077
_cell_angle_alpha 90.00
_cell_angle_beta 108.39
_cell_angle_gamma 90.00
_symmetry_space_group_name_H-M 'C 1 2/m 1'
_symmetry_Int_Tables_number 12
_symmetry_space_group_name_Hall '-C 2y'
loop_
_atom_site_label
_atom_site_fract_x
_atom_site_fract_y
_atom_site_fract_z
_atom_site_occupancy
Tb1 0.000 0.000 0.000 1
Ce1 0.000 0.500 0.500 1
Pm1 0.088 0.000 0.674 1
Y1 0.132 0.500 0.921 1
Y2 0.172 0.243 0.304 1
```

---

# 6
Theoretical powder X-ray diffraction pattern of Ce3PmTe4 for Cu Kα, from a cell relaxed with PBE.

Most intense lines, 15 to 90 degrees two-theta, sorted by position:
2theta, I/Imax, hkl
24.3, 1, 1 1 1
28.2, 100, 2 0 0
40.2, 76, 2 2 0
49.8, 27, 2 2 2
58.2, 13, 4 0 0
65.9, 35, 4 2 0
73.1, 26, 4 2 2
86.9, 8, 4 4 0

Atomic structure:
```
data_Ce3PmTe4
_chemical_formula_sum 'Ce3 Pm1 Te4'
_cell_length_a 6.340
_cell_length_b 6.340
_cell_length_c 6.340
_cell_angle_alpha 90.00
_cell_angle_beta 90.00
_cell_angle_gamma 90.00
_symmetry_space_group_name_H-M 'P m -3 m'
_symmetry_Int_Tables_number 221
_symmetry_space_group_name_Hall '-P 4 2 3'
loop_
_atom_site_label
_atom_site_fract_x
_atom_site_fract_y
_atom_site_fract_z
_atom_site_occupancy
Ce1 0.000 0.000 0.500 1
Pm1 0.500 0.500 0.500 1
Te1 0.000 0.000 0.000 1
Te2 0.000 0.500 0.500 1
```